Record 1
Structure and simulated X-ray diffraction stick pattern of Ac4Bi2Ir (a DFT-relaxed cell (PBE, Alexandria); Cu Ka).
Neutral-atom scattering factors, no anomalous dispersion.

Structural model:
Cell: 5.623 5.623 17.967 Å, 90.00 90.00 90.00°
Space group I4/mmm (No. 139)
Symmetry-distinct sites (fractional):
Ac  0.000  0.000  0.171 [4 per cell]
Ac  0.000  0.500  0.000 [4 per cell]
Bi  0.000  0.000  0.362 [4 per cell]
Ir  0.000  0.000  0.000 [2 per cell]

Most intense lines, 2θ from 10° to 90°, by angle:
22.36 deg, I 39, hkl 1 1 0; 24.48 deg, I 54, hkl 1 1 2; 29.50 deg, I 42, hkl 1 0 5; 29.84 deg, I 42, hkl 0 0 6; 30.02 deg, I 71, hkl 1 1 4; 31.83 deg, I 100, hkl 2 0 0; 43.95 deg, I 29, hkl 2 1 5; 44.19 deg, I 59, hkl 2 0 6; 45.63 deg, I 38, hkl 2 2 0; 55.48 deg, I 31, hkl 2 2 6; 55.59 deg, I 26, hkl 3 1 4; 83.37 deg, I 20, hkl 4 2 6

Record 2
Structure and simulated X-ray diffraction stick pattern of CeMg11Pd (a DFT-relaxed cell (PBE, Alexandria); Cu Ka).
Neutral-atom scattering factors, no anomalous dispersion.

Structural model:
Cell: 5.626 14.474 7.692 Å, 90.00 110.18 90.00°
Space group C2/m (No. 12)
Symmetry-distinct sites (fractional):
Ce  0.000  0.000  0.000 [2 per cell]
Mg  0.000  0.000  0.500 [2 per cell]
Mg  0.097  0.397  0.220 [8 per cell]
Mg  0.188  0.169  0.360 [8 per cell]
Mg  0.250  0.250  0.000 [4 per cell]
Pd  0.000  0.500  0.500 [2 per cell]

Most intense lines, 2θ from 10° to 90°, by angle:
12.23 deg, I 100, hkl 0 2 0; 18.12 deg, I 76, hkl 1 1 -1; 24.63 deg, I 43, hkl 0 0 2; 24.85 deg, I 45, hkl 1 1 1; 25.17 deg, I 40, hkl 1 3 -1; 27.61 deg, I 37, hkl 0 2 2; 30.46 deg, I 58, hkl 1 3 1; 35.12 deg, I 86, hkl 0 4 2; 35.49 deg, I 43, hkl 1 5 -1; 35.80 deg, I 46, hkl 1 1 -3; 36.22 deg, I 54, hkl 2 2 0; 36.71 deg, I 48, hkl 2 2 -2

Record 3
Structure and simulated X-ray diffraction stick pattern of Hg3Sb2Au3 (a DFT-relaxed cell (PBE, Alexandria); Cu Ka).
Neutral-atom scattering factors, no anomalous dispersion.

Structural model:
Cell: 4.599 13.605 12.553 Å, 90.00 99.58 90.00°
Space group C2/c (No. 15)
Symmetry-distinct sites (fractional):
Hg  0.000  0.169  0.250 [4 per cell]
Hg  0.089  0.198  0.873 [8 per cell]
Sb  0.240  0.466  0.904 [8 per cell]
Au  0.000  0.394  0.250 [4 per cell]
Au  0.167  0.353  0.513 [8 per cell]

Most intense lines, 2θ from 10° to 90°, by angle:
13.01 deg, I 27, hkl 0 2 0; 27.89 deg, I 30, hkl 1 3 -1; 29.83 deg, I 65, hkl 1 3 -2; 32.35 deg, I 100, hkl 1 1 3; 34.16 deg, I 39, hkl 0 4 3; 37.96 deg, I 22, hkl 1 3 -4; 38.62 deg, I 57, hkl 1 5 -1; 39.01 deg, I 52, hkl 1 1 -5; 39.36 deg, I 40, hkl 0 4 4; 39.99 deg, I 37, hkl 2 0 -2; 41.46 deg, I 22, hkl 2 2 -1; 70.71 deg, I 19, hkl 2 8 -3

Record 4
Structure and simulated X-ray diffraction stick pattern of EuMg2Rh (a DFT-relaxed cell (PBE, Alexandria); Cu Ka).
Neutral-atom scattering factors, no anomalous dispersion.

Structural model:
Cell: 4.310 8.112 5.699 Å, 90.00 112.18 90.00°
Space group P2_1/m (No. 11)
Symmetry-distinct sites (fractional):
Eu  0.057  0.250  0.113 [2 per cell]
Mg  0.340  0.060  0.679 [4 per cell]
Rh  0.230  0.750  0.458 [2 per cell]

Most intense lines, 2θ from 10° to 90°, by angle:
21.91 deg, I 71, hkl 0 2 0; 22.28 deg, I 46, hkl 1 0 -1; 31.45 deg, I 75, hkl 1 2 -1; 34.72 deg, I 100, hkl 1 1 1; 35.78 deg, I 41, hkl 0 1 2; 41.93 deg, I 26, hkl 2 0 -1; 44.68 deg, I 15, hkl 0 4 0; 47.36 deg, I 39, hkl 1 3 1; 47.80 deg, I 18, hkl 2 2 -1; 50.48 deg, I 15, hkl 1 4 -1; 56.27 deg, I 22, hkl 2 1 -3; 70.06 deg, I 16, hkl 1 2 3

Record 5
Structure and simulated X-ray diffraction stick pattern of PmSm2MgHg4 (a DFT-relaxed cell (PBE, Alexandria); Cu Ka).
Neutral-atom scattering factors, no anomalous dispersion.

Structural model:
Cell: 5.2182 5.2182 26.5080 Å, 90.00 90.00 120.00°
Space group R-3m (No. 166, hexagonal axes)
Symmetry-distinct sites (fractional):
Pm  0.0000  0.0000  0.0000 [3 per cell]
Sm  0.0000  0.0000  0.2434 [6 per cell]
Mg  0.0000  0.0000  0.5000 [3 per cell]
Hg  0.0000  0.0000  0.1252 [6 per cell]
Hg  0.0000  0.0000  0.3757 [6 per cell]

Most intense lines, 2θ from 10° to 90°, by angle:
23.83 deg, I 16, hkl 1 0 4; 33.54 deg, I 100, hkl 0 1 8; 34.37 deg, I 96, hkl 1 1 0; 48.78 deg, I 35, hkl 2 0 8; 54.42 deg, I 5, hkl 1 1 12; 59.42 deg, I 18, hkl 1 0 16; 61.03 deg, I 36, hkl 1 2 8; 61.56 deg, I 18, hkl 3 0 0; 70.48 deg, I 11, hkl 0 2 16; 72.45 deg, I 11, hkl 2 2 0; 80.82 deg, I 15, hkl 2 1 16; 82.24 deg, I 16, hkl 3 1 8

Record 6
Structure and simulated X-ray diffraction stick pattern of Pm4Dy10Tm (a DFT-relaxed cell (PBE, Alexandria); Cu Ka).
Neutral-atom scattering factors, no anomalous dispersion.

Structural model:
Cell: 11.289 11.289 7.893 Å, 90.00 90.00 90.00°
Space group I4/mmm (No. 139)
Symmetry-distinct sites (fractional):
Pm  0.229  0.229  0.000 [8 per cell]
Dy  0.000  0.209  0.292 [16 per cell]
Dy  0.000  0.500  0.250 [4 per cell]
Tm  0.000  0.000  0.000 [2 per cell]

Most intense lines, 2θ from 10° to 90°, by angle:
27.58 deg, I 47, hkl 2 0 2; 30.72 deg, I 48, hkl 3 2 1; 31.71 deg, I 100, hkl 4 0 0; 31.89 deg, I 94, hkl 2 2 2; 33.86 deg, I 43, hkl 3 1 2; 35.02 deg, I 27, hkl 1 0 3; 40.91 deg, I 48, hkl 3 3 2; 45.45 deg, I 24, hkl 4 4 0; 53.48 deg, I 24, hkl 5 0 3; 56.94 deg, I 22, hkl 4 0 4; 66.30 deg, I 27, hkl 3 2 5; 67.50 deg, I 30, hkl 7 3 2

Record 7
Structure and simulated X-ray diffraction stick pattern of La4NdEr15 (a DFT-relaxed cell (PBE, Alexandria); Cu Ka).
Neutral-atom scattering factors, no anomalous dispersion.

Structural model:
Cell: 5.063 5.063 25.060 Å, 90.00 90.00 90.00°
Space group P4/mmm (No. 123)
Symmetry-distinct sites (fractional):
La  0.000  0.000  0.100 [2 per cell]
La  0.000  0.000  0.300 [2 per cell]
Nd  0.000  0.000  0.500 [1 per cell]
Er  0.000  0.500  0.000 [2 per cell]
Er  0.000  0.500  0.200 [4 per cell]
Er  0.000  0.500  0.401 [4 per cell]
Er  0.500  0.500  0.100 [2 per cell]
Er  0.500  0.500  0.301 [2 per cell]
Er  0.500  0.500  0.500 [1 per cell]

Most intense lines, 2θ from 10° to 90°, by angle:
30.69 deg, I 100, hkl 1 1 5; 35.46 deg, I 34, hkl 2 0 0; 35.83 deg, I 17, hkl 0 0 10; 51.03 deg, I 12, hkl 2 2 0; 51.30 deg, I 24, hkl 2 0 10; 60.73 deg, I 29, hkl 3 1 5; 61.22 deg, I 14, hkl 1 1 15; 63.91 deg, I 12, hkl 2 2 10; 83.23 deg, I 6, hkl 3 3 5; 83.66 deg, I 12, hkl 3 1 15; 85.85 deg, I 6, hkl 4 2 0; 86.06 deg, I 6, hkl 4 0 10

Record 8
Structure and simulated X-ray diffraction stick pattern of CePu3Br8 (a DFT-relaxed cell (PBE, Alexandria); Cu Ka).
Neutral-atom scattering factors, no anomalous dispersion.

Structural model:
Cell: 14.234 8.221 8.816 Å, 90.00 123.22 90.00°
Space group C2/m (No. 12)
Symmetry-distinct sites (fractional):
Ce  0.000  0.000  0.000 [2 per cell]
Pu  0.000  0.500  0.000 [2 per cell]
Pu  0.250  0.250  0.000 [4 per cell]
Br  0.001  0.252  0.755 [8 per cell]
Br  0.248  0.500  0.240 [4 per cell]
Br  0.249  0.500  0.755 [4 per cell]

Most intense lines, 2θ from 10° to 90°, by angle:
12.00 deg, I 100, hkl 0 0 1; 25.35 deg, I 51, hkl 4 0 -1; 29.77 deg, I 74, hkl 2 2 -2; 30.02 deg, I 36, hkl 4 0 0; 32.37 deg, I 18, hkl 2 2 1; 37.96 deg, I 15, hkl 2 2 -3; 41.11 deg, I 15, hkl 4 0 -4; 41.46 deg, I 30, hkl 2 2 2; 44.07 deg, I 38, hkl 0 4 0; 49.43 deg, I 9, hkl 0 0 4; 54.24 deg, I 14, hkl 4 4 0; 61.83 deg, I 9, hkl 4 4 -4

Record 9
Structure and simulated X-ray diffraction stick pattern of Pa2P4Ru5 (a DFT-relaxed cell (PBE, Alexandria); Cu Ka).
Neutral-atom scattering factors, no anomalous dispersion.

Structural model:
Cell: 5.513 9.511 13.760 Å, 90.00 90.00 90.00°
Space group Fmmm (No. 69)
Symmetry-distinct sites (fractional):
Pa  0.000  0.000  0.126 [8 per cell]
P  0.000  0.155  0.369 [16 per cell]
Ru  0.000  0.000  0.500 [4 per cell]
Ru  0.250  0.250  0.000 [8 per cell]
Ru  0.250  0.250  0.250 [8 per cell]

Most intense lines, 2θ from 10° to 90°, by angle:
19.70 deg, I 22, hkl 1 1 1; 26.97 deg, I 59, hkl 1 1 3; 32.11 deg, I 70, hkl 0 2 4; 33.24 deg, I 22, hkl 1 3 1; 37.72 deg, I 100, hkl 2 2 0; 37.84 deg, I 34, hkl 0 4 0; 38.17 deg, I 47, hkl 1 3 3; 42.00 deg, I 51, hkl 2 0 4; 46.71 deg, I 22, hkl 1 3 5; 53.26 deg, I 19, hkl 0 0 8; 57.80 deg, I 24, hkl 2 4 4; 67.12 deg, I 41, hkl 2 2 8

Record 10
Structure and simulated X-ray diffraction stick pattern of Pu3Al4Ga8 (a DFT-relaxed cell (PBE, Alexandria); Cu Ka).
Neutral-atom scattering factors, no anomalous dispersion.

Structural model:
Cell: 6.579 6.579 6.579 Å, 90.00 90.00 90.00°
Space group Pm-3m (No. 221)
Symmetry-distinct sites (fractional):
Pu  0.000  0.000  0.500 [3 per cell]
Al  0.000  0.000  0.000 [1 per cell]
Al  0.000  0.500  0.500 [3 per cell]
Ga  0.284  0.284  0.284 [8 per cell]

Most intense lines, 2θ from 10° to 90°, by angle:
19.08 deg, I 15, hkl 1 1 0; 23.42 deg, I 50, hkl 1 1 1; 30.38 deg, I 27, hkl 2 1 0; 33.36 deg, I 12, hkl 2 1 1; 38.71 deg, I 100, hkl 2 2 0; 41.16 deg, I 10, hkl 3 0 0; 45.74 deg, I 25, hkl 3 1 1; 55.90 deg, I 15, hkl 4 0 0; 57.78 deg, I 11, hkl 3 2 2; 61.43 deg, I 13, hkl 3 3 1; 70.07 deg, I 27, hkl 4 2 2; 75.02 deg, I 8, hkl 5 1 1

Record 11
Structure and simulated X-ray diffraction stick pattern of In9Sn2Bi4 (a DFT-relaxed cell (PBE, Alexandria); Cu Ka).
Neutral-atom scattering factors, no anomalous dispersion.

Structural model:
Cell: 5.596 5.597 16.014 Å, 83.67 83.74 61.72°
Space group P-1 (No. 2)
Symmetry-distinct sites (fractional):
In  0.000  0.000  0.000 [1 per cell]
In  0.026  0.030  0.399 [2 per cell]
In  0.037  0.041  0.200 [2 per cell]
In  0.331  0.333  0.045 [2 per cell]
In  0.353  0.357  0.433 [2 per cell]
Sn  0.370  0.374  0.236 [2 per cell]
Bi  0.291  0.287  0.842 [2 per cell]
Bi  0.304  0.299  0.634 [2 per cell]

Most intense lines, 2θ from 10° to 90°, by angle:
28.09 deg, I 31, hkl 0 0 5; 31.15 deg, I 84, hkl 1 -1 0; 31.80 deg, I 27, hkl 1 1 5; 32.06 deg, I 25, hkl 1 2 1; 32.21 deg, I 100, hkl 2 1 0; 32.53 deg, I 27, hkl 1 0 5; 33.34 deg, I 21, hkl 1 2 -1; 34.61 deg, I 67, hkl 1 0 -5; 40.67 deg, I 27, hkl 2 1 5; 42.44 deg, I 20, hkl -1 1 5; 45.12 deg, I 21, hkl 2 0 5; 62.65 deg, I 20, hkl 1 0 -10